[1]
Theoretical PXRD pattern
Compound: Li3Mn2FeB3O9
Radiation: Cu Kα (weighted mean of Kα1 and Kα2)
Structure: a DFT-relaxed cell (GGA+U, the Materials Project)
Kinematic intensities with the Lorentz-polarization factor, no thermal factor.

Atomic structure:
Cell: 8.2748 3.1714 14.3044 Å, 90.00 90.04 90.00°
Space group Pm (No. 6)
Symmetry-distinct sites (fractional):
Li: 0.0000 0.0000 0.0000 (multiplicity 1)
Li: 0.0249 0.0000 0.2941 (multiplicity 1)
Li: 0.0741 0.0000 0.6589 (multiplicity 1)
Li: 0.5023 0.0000 0.5004 (multiplicity 1)
Li: 0.5279 0.0000 0.7919 (multiplicity 1)
Li: 0.5749 0.0000 0.1607 (multiplicity 1)
Mn: 0.1752 0.5000 0.4708 (multiplicity 1)
Mn: 0.1931 0.5000 0.8362 (multiplicity 1)
Mn: 0.2329 0.5000 0.1453 (multiplicity 1)
Mn: 0.6756 0.5000 0.9709 (multiplicity 1)
Fe: 0.6915 0.5000 0.3346 (multiplicity 1)
Fe: 0.7295 0.5000 0.6464 (multiplicity 1)
B: 0.3672 0.0000 0.9841 (multiplicity 1)
B: 0.3685 0.5000 0.6499 (multiplicity 1)
B: 0.3692 0.0000 0.3175 (multiplicity 1)
B: 0.8645 0.0000 0.4845 (multiplicity 1)
B: 0.8662 0.0000 0.8163 (multiplicity 1)
B: 0.8679 0.5000 0.1520 (multiplicity 1)
O: 0.0042 0.5000 0.2089 (multiplicity 1)
O: 0.0167 0.0000 0.8595 (multiplicity 1)
O: 0.0187 0.0000 0.5244 (multiplicity 1)
O: 0.2150 0.5000 0.6900 (multiplicity 1)
O: 0.2287 0.0000 0.0392 (multiplicity 1)
O: 0.2292 0.0000 0.3710 (multiplicity 1)
O: 0.3536 0.0000 0.8870 (multiplicity 1)
O: 0.3580 0.0000 0.2206 (multiplicity 1)
O: 0.3856 0.5000 0.5532 (multiplicity 1)
O: 0.5062 0.5000 0.7066 (multiplicity 1)
O: 0.5194 0.0000 0.0258 (multiplicity 1)
O: 0.5203 0.0000 0.3603 (multiplicity 1)
O: 0.7143 0.5000 0.1925 (multiplicity 1)
O: 0.7270 0.0000 0.8706 (multiplicity 1)
O: 0.7293 0.0000 0.5423 (multiplicity 1)
O: 0.8474 0.0000 0.3876 (multiplicity 1)
O: 0.8548 0.0000 0.7193 (multiplicity 1)
O: 0.8843 0.5000 0.0549 (multiplicity 1)

Principal peaks in the range 10 to 90 degrees two-theta, sorted by position:
| Position (°2θ) | I_rel | h k l |
| --- | --- | --- |
| 21.5 | 100 | 1 0 -3 |
| 30.8 | 17 | 1 1 1 |
| 33.1 | 17 | 3 0 -1 |
| 35.7 | 80 | 1 1 -3 |
| 37.7 | 32 | 3 0 3 |
| 37.9 | 10 | 2 1 2 |
| 43.8 | 15 | 2 0 -6 |
| 44.0 | 11 | 3 1 -1 |
| 47.7 | 28 | 3 1 3 |
| 52.9 | 25 | 2 1 -6 |
| 54.5 | 18 | 4 1 2 |
| 58.2 | 11 | 0 2 0 |

***

[2]
Theoretical PXRD pattern
Compound: CeVO4
Radiation: Cu Kα (weighted mean of Kα1 and Kα2)
Structure: a DFT-relaxed cell (GGA+U, the Materials Project)
Kinematic intensities with the Lorentz-polarization factor, no thermal factor.

Atomic structure:
Cell: 6.2424 8.4537 6.5891 Å, 90.00 113.28 90.00°
Space group P2_1/c (No. 14)
Symmetry-distinct sites (fractional):
Ce: 0.0619 0.1532 0.2208 (multiplicity 4)
V: 0.4236 0.6520 0.7637 (multiplicity 4)
O: 0.0657 0.6231 0.6515 (multiplicity 4)
O: 0.2319 0.1590 0.5988 (multiplicity 4)
O: 0.3520 0.7040 0.4603 (multiplicity 4)
O: 0.4246 0.0537 0.2806 (multiplicity 4)

Principal peaks in the range 10 to 90 degrees two-theta, sorted by position:
| Position (°2θ) | I_rel | h k l |
| --- | --- | --- |
| 15.5 | 44 | 1 0 0 |
| 19.6 | 47 | 1 1 -1 |
| 21.0 | 22 | 0 2 0 |
| 25.7 | 24 | 0 2 1 |
| 26.9 | 100 | 1 2 -1 |
| 29.5 | 57 | 0 0 2 |
| 31.2 | 25 | 2 0 0 |
| 33.0 | 37 | 2 1 0 |
| 33.1 | 39 | 1 2 1 |
| 35.2 | 22 | 2 1 -2 |
| 52.9 | 31 | 1 3 -3 |
| 55.0 | 24 | 3 3 -1 |

***

[3]
Theoretical PXRD pattern
Compound: MnP2O7
Radiation: Cu Kα (weighted mean of Kα1 and Kα2)
Structure: a DFT-relaxed cell (GGA+U, the Materials Project)
Kinematic intensities with the Lorentz-polarization factor, no thermal factor.

Atomic structure:
Cell: 7.1851 7.9649 9.2636 Å, 90.00 110.32 90.00°
Space group P2_1/c (No. 14)
Symmetry-distinct sites (fractional):
Mn: 0.2327 0.0051 0.2537 (multiplicity 4)
P: 0.1746 0.6993 0.4462 (multiplicity 4)
P: 0.4241 0.2395 0.5551 (multiplicity 4)
O: 0.0388 0.5773 0.3306 (multiplicity 4)
O: 0.1468 0.6140 0.9003 (multiplicity 4)
O: 0.1736 0.6842 0.6113 (multiplicity 4)
O: 0.2929 0.1434 0.1072 (multiplicity 4)
O: 0.3038 0.1950 0.3878 (multiplicity 4)
O: 0.3907 0.6472 0.4444 (multiplicity 4)
O: 0.4971 0.5850 0.8415 (multiplicity 4)

Principal peaks in the range 10 to 90 degrees two-theta, sorted by position:
| Position (°2θ) | I_rel | h k l |
| --- | --- | --- |
| 17.6 | 100 | 1 1 -1 |
| 20.1 | 13 | 1 0 -2 |
| 22.3 | 33 | 1 1 1 |
| 23.3 | 26 | 0 1 2 |
| 26.5 | 12 | 2 0 0 |
| 28.8 | 31 | 2 1 0 |
| 29.5 | 16 | 2 1 -2 |
| 30.5 | 55 | 0 2 2 |
| 31.2 | 18 | 1 1 -3 |
| 46.6 | 8 | 3 1 1 |
| 62.9 | 10 | 2 2 4 |
| 71.2 | 8 | 3 5 -1 |

***

[4]
Theoretical PXRD pattern
Compound: MgVRhO4
Radiation: Cu Kα (weighted mean of Kα1 and Kα2)
Structure: a DFT-relaxed cell (GGA+U, the Materials Project)
Kinematic intensities with the Lorentz-polarization factor, no thermal factor.

Atomic structure:
Cell: 5.0190 3.0085 5.0562 Å, 90.00 91.42 90.00°
Space group P2/m (No. 10)
Symmetry-distinct sites (fractional):
Mg: 0.0000 0.0000 0.0000 (multiplicity 1)
V: 0.0000 0.5000 0.5000 (multiplicity 1)
Rh: 0.5000 0.0000 0.0000 (multiplicity 1)
O: 0.2015 0.0000 0.6700 (multiplicity 2)
O: 0.2472 0.5000 0.1649 (multiplicity 2)

Principal peaks in the range 10 to 90 degrees two-theta, sorted by position:
| Position (°2θ) | I_rel | h k l |
| --- | --- | --- |
| 17.5 | 51 | 0 0 1 |
| 24.7 | 61 | 1 0 -1 |
| 25.3 | 59 | 1 0 1 |
| 34.7 | 100 | 0 1 1 |
| 35.5 | 28 | 0 0 2 |
| 35.8 | 18 | 2 0 0 |
| 39.0 | 16 | 1 1 -1 |
| 50.2 | 17 | 1 1 -2 |
| 50.4 | 34 | 2 1 -1 |
| 50.6 | 22 | 2 0 -2 |
| 51.0 | 44 | 2 1 1 |
| 63.3 | 24 | 0 1 3 |

***

[5]
Theoretical PXRD pattern
Compound: Li7FeCo3P6O24
Radiation: Cu Kα (weighted mean of Kα1 and Kα2)
Structure: a DFT-relaxed cell (GGA+U, the Materials Project)
Kinematic intensities with the Lorentz-polarization factor, no thermal factor.

Atomic structure:
Cell: 8.8169 8.8169 21.5694 Å, 90.00 90.00 120.00°
Space group R3 (No. 146, hexagonal axes)
Symmetry-distinct sites (fractional):
Li: 0.0000 0.0000 0.0000 (multiplicity 3)
Li: 0.0278 0.4267 0.7904 (multiplicity 9)
Li: 0.0517 0.6096 0.2441 (multiplicity 9)
Fe: 0.0000 0.0000 0.3787 (multiplicity 3)
Co: 0.0000 0.0000 0.1749 (multiplicity 3)
Co: 0.0000 0.0000 0.6726 (multiplicity 3)
Co: 0.0000 0.0000 0.8750 (multiplicity 3)
P: 0.0011 0.2939 0.2749 (multiplicity 9)
P: 0.0006 0.7096 0.7736 (multiplicity 9)
O: 0.0036 0.8193 0.4380 (multiplicity 9)
O: 0.0067 0.1832 0.9393 (multiplicity 9)
O: 0.0146 0.8166 0.7164 (multiplicity 9)
O: 0.0209 0.2123 0.2133 (multiplicity 9)
O: 0.1482 0.6970 0.5015 (multiplicity 9)
O: 0.1530 0.4650 0.9979 (multiplicity 9)
O: 0.1708 0.4768 0.2757 (multiplicity 9)
O: 0.1736 0.7021 0.7773 (multiplicity 9)

Principal peaks in the range 10 to 90 degrees two-theta, sorted by position:
| Position (°2θ) | I_rel | h k l |
| --- | --- | --- |
| 14.2 | 35 | 0 1 2 |
| 20.2 | 91 | 1 0 4 |
| 23.7 | 100 | 1 1 3 |
| 28.6 | 39 | 0 2 4 |
| 31.3 | 20 | 3 -1 1 |
| 32.1 | 52 | 1 1 6 |
| 35.3 | 38 | 3 0 0 |
| 46.1 | 18 | 1 3 4 |
| 48.4 | 32 | 2 2 6 |
| 53.0 | 17 | 3 -1 10 |
| 55.1 | 29 | 1 4 0 |
| 61.3 | 24 | 4 -3 10 |

***

[6]
Theoretical PXRD pattern
Compound: MgNiHO2
Radiation: Cu Kα (weighted mean of Kα1 and Kα2)
Structure: a DFT-relaxed cell (GGA+U, the Materials Project)
Kinematic intensities with the Lorentz-polarization factor, no thermal factor.

Atomic structure:
Cell: 5.9730 3.0611 5.6586 Å, 90.00 102.20 90.00°
Space group Cm (No. 8)
Symmetry-distinct sites (fractional):
Mg: 0.0000 0.0000 0.0000 (multiplicity 2)
Ni: 0.1808 0.5000 0.6096 (multiplicity 2)
H: 0.3024 0.0000 0.3516 (multiplicity 2)
O: 0.1382 0.0000 0.3541 (multiplicity 2)
O: 0.2914 0.0000 0.8897 (multiplicity 2)

Principal peaks in the range 10 to 90 degrees two-theta, sorted by position:
| Position (°2θ) | I_rel | h k l |
| --- | --- | --- |
| 16.0 | 100 | 0 0 1 |
| 30.6 | 50 | 2 0 0 |
| 31.5 | 92 | 2 0 -1 |
| 35.4 | 92 | 1 1 -1 |
| 37.8 | 28 | 2 0 1 |
| 38.4 | 71 | 1 1 1 |
| 44.4 | 38 | 1 1 -2 |
| 49.3 | 68 | 1 1 2 |
| 49.4 | 23 | 0 0 3 |
| 56.0 | 29 | 3 1 0 |
| 57.6 | 25 | 1 1 -3 |
| 60.2 | 23 | 3 1 -2 |